For K2Pa2Se7, a DFT-relaxed cell (GGA-PBE, Alexandria) gives the computed powder diffractogram in this record (a wavelength of 1.5418 Å).
No peak broadening, texture or thermal motion is included.

The 10 most intense peaks (2θ = 10–80°), sorted by position:
2θ = 10.84°, I 100.0, hkl 0 0 1
2θ = 17.68°, I 21.0, hkl 0 2 0
2θ = 20.78°, I 33.8, hkl 0 2 1
2θ = 23.01°, I 44.7, hkl 2 0 1
2θ = 29.89°, I 24.4, hkl 2 0 2
2θ = 34.94°, I 67.3, hkl 2 2 2
2θ = 35.79°, I 21.1, hkl 0 4 0
2θ = 38.94°, I 16.3, hkl 2 0 3
2θ = 41.13°, I 16.6, hkl 4 0 0
2θ = 43.03°, I 27.7, hkl 2 2 3

Structure:
```
data_K2Pa2Se7
_chemical_formula_sum 'K4 Pa4 Se14'
_cell_length_a 8.778
_cell_length_b 10.035
_cell_length_c 8.164
_cell_angle_alpha 90.00
_cell_angle_beta 90.00
_cell_angle_gamma 90.00
_space_group_name_H-M_alt 'C m m m'
_space_group_IT_number 65
_space_group_name_Hall '-C 2 2'
loop_
_atom_site_label
_atom_site_fract_x
_atom_site_fract_y
_atom_site_fract_z
K1 0.236 0.000 0.000
Pa1 0.000 0.274 0.500
Se1 0.000 0.000 0.500
Se2 0.000 0.500 0.287
Se3 0.250 0.250 0.280
```

For ZrTiZnPt, a DFT-relaxed cell (GGA-PBE, Alexandria) gives the computed powder diffractogram in this record (a wavelength of 1.5418 Å).
No peak broadening, texture or thermal motion is included.

The 10 most intense peaks (2θ = 10–80°), sorted by position:
2θ = 23.56°, I 24.3, hkl 1 1 1
2θ = 27.27°, I 11.4, hkl 2 0 0
2θ = 38.95°, I 100.0, hkl 2 2 0
2θ = 46.02°, I 13.0, hkl 3 1 1
2θ = 48.20°, I 3.5, hkl 2 2 2
2θ = 56.26°, I 16.8, hkl 4 0 0
2θ = 61.83°, I 5.6, hkl 3 3 1
2θ = 63.62°, I 4.8, hkl 4 2 0
2θ = 70.54°, I 33.5, hkl 4 2 2
2θ = 75.53°, I 4.3, hkl 5 1 1

Structure:
```
data_ZrTiZnPt
_chemical_formula_sum 'Zr4 Ti4 Zn4 Pt4'
_cell_length_a 6.541
_cell_length_b 6.541
_cell_length_c 6.541
_cell_angle_alpha 90.00
_cell_angle_beta 90.00
_cell_angle_gamma 90.00
_space_group_name_H-M_alt 'F -4 3 m'
_space_group_IT_number 216
_space_group_name_Hall 'F -4 2 3'
loop_
_atom_site_label
_atom_site_fract_x
_atom_site_fract_y
_atom_site_fract_z
Zr1 0.000 0.000 0.000
Ti1 0.000 0.000 0.500
Zn1 0.250 0.250 0.750
Pt1 0.250 0.250 0.250
```